No. 1
For Tb4Pm7Nd, DFT lattice parameters and positions (GGA-PBE) gives the theoretical XRD peak list in this record (λ = 1.5418 Å (Cu Kα)).

Atomic structure:
```
data_Tb4Pm7Nd
_chemical_formula_sum 'Tb8 Pm14 Nd2'
_cell_length_a 16.1936
_cell_length_b 6.0105
_cell_length_c 9.4393
_cell_angle_alpha 90.00
_cell_angle_beta 116.29
_cell_angle_gamma 90.00
_space_group_name_H-M_alt 'C 1 2/m 1'
_space_group_IT_number 12
_space_group_name_Hall '-C 2y'
loop_
_atom_site_label
_atom_site_type_symbol
_atom_site_fract_x
_atom_site_fract_y
_atom_site_fract_z
Tb1 Tb 0.0723 0.0000 0.1978
Tb2 Tb 0.1712 0.0000 0.8866
Pm1 Pm 0.0000 0.0000 0.5000
Pm2 Pm 0.0844 0.5000 0.9477
Pm3 Pm 0.2104 0.5000 0.7339
Pm4 Pm 0.2143 0.5000 0.3819
Nd1 Nd 0.0000 0.5000 0.5000
```

Principal peaks in the range 10° ≤ 2θ ≤ 90°, in order of falling intensity:
(0 2 0), 29.73°, 3.005 Å, I 100.0
(5 1 -2), 32.28°, 2.773 Å, I 75.2
(1 1 -3), 33.09°, 2.707 Å, I 67.4
(5 1 -1), 31.53°, 2.838 Å, I 52.0
(4 0 1), 30.81°, 2.903 Å, I 40.0
(3 1 1), 29.07°, 3.072 Å, I 33.2

---

No. 2
For Na4TbEr3Te8, DFT lattice parameters and positions (GGA-PBE) gives the theoretical XRD peak list in this record (λ = 1.5418 Å (Cu Kα)).

Atomic structure:
```
data_Na4TbEr3Te8
_chemical_formula_sum 'Na12 Tb3 Er9 Te24'
_cell_length_a 8.8200
_cell_length_b 8.8200
_cell_length_c 22.6922
_cell_angle_alpha 90.00
_cell_angle_beta 90.00
_cell_angle_gamma 120.00
_space_group_name_H-M_alt 'R -3 m'
_space_group_IT_number 166
_space_group_name_Hall '-R 3 2"'
loop_
_atom_site_label
_atom_site_type_symbol
_atom_site_fract_x
_atom_site_fract_y
_atom_site_fract_z
Na1 Na 0.0000 0.0000 0.0000
Na2 Na 0.0000 0.5000 0.0000
Tb1 Tb 0.0000 0.0000 0.5000
Er1 Er 0.0000 0.5000 0.5000
Te1 Te 0.0000 0.0000 0.2432
Te2 Te 0.0025 0.5012 0.7563
```

Principal peaks in the range 10° ≤ 2θ ≤ 90°, in order of falling intensity:
(0 2 4), 28.17°, 3.168 Å, I 100.0
(2 0 8), 39.58°, 2.277 Å, I 38.3
(0 0 3), 11.70°, 7.564 Å, I 38.0
(2 2 0), 40.93°, 2.205 Å, I 36.9
(4 0 4), 50.42°, 1.810 Å, I 19.8
(2 4 4), 66.88°, 1.399 Å, I 16.7

---

No. 3
For Na4AcF8, DFT lattice parameters and positions (GGA-PBE) gives the theoretical XRD peak list in this record (λ = 1.5418 Å (Cu Kα)).

Atomic structure:
```
data_Na4AcF8
_chemical_formula_sum 'Na12 Ac3 F24'
_cell_length_a 6.8316
_cell_length_b 6.8316
_cell_length_c 17.8024
_cell_angle_alpha 90.00
_cell_angle_beta 90.00
_cell_angle_gamma 120.00
_space_group_name_H-M_alt 'R -3 m'
_space_group_IT_number 166
_space_group_name_Hall '-R 3 2"'
loop_
_atom_site_label
_atom_site_type_symbol
_atom_site_fract_x
_atom_site_fract_y
_atom_site_fract_z
Na1 Na 0.0000 0.0000 0.0000
Na2 Na 0.0000 0.5000 0.0000
Ac1 Ac 0.0000 0.0000 0.5000
F1 F 0.0000 0.0000 0.2723
F2 F 0.0295 0.5148 0.2597
```

Principal peaks in the range 10° ≤ 2θ ≤ 90°, in order of falling intensity:
(1 0 1), 15.78°, 5.614 Å, I 100.0
(0 1 2), 18.00°, 4.927 Å, I 62.7
(0 2 4), 36.47°, 2.464 Å, I 49.0
(1 1 3), 30.18°, 2.961 Å, I 37.2
(1 1 0), 26.09°, 3.416 Å, I 27.0
(1 0 4), 25.04°, 3.557 Å, I 26.6

---

No. 4
For PrYTe2Se, DFT lattice parameters and positions (GGA-PBE) gives the theoretical XRD peak list in this record (λ = 1.5418 Å (Cu Kα)).

Atomic structure:
```
data_PrYTe2Se
_chemical_formula_sum 'Pr2 Y2 Te4 Se2'
_cell_length_a 4.3888
_cell_length_b 4.3888
_cell_length_c 15.7074
_cell_angle_alpha 90.00
_cell_angle_beta 90.00
_cell_angle_gamma 90.00
_space_group_name_H-M_alt 'P 4/n m m'
_space_group_IT_number 129
loop_
_space_group_symop_operation_xyz
'x,y,z'
'-x,-y,-z'
'-y+1/2,x,z'
'y+1/2,-x,-z'
'-x+1/2,-y+1/2,z'
'x+1/2,y+1/2,-z'
'y,-x+1/2,z'
'-y,x+1/2,-z'
'x+1/2,-y,-z'
'-x+1/2,y,z'
'-y,-x,-z'
'y,x,z'
'-x,y+1/2,-z'
'x,-y+1/2,z'
'y+1/2,x+1/2,-z'
'-y+1/2,-x+1/2,z'
loop_
_atom_site_label
_atom_site_type_symbol
_atom_site_fract_x
_atom_site_fract_y
_atom_site_fract_z
Pr1 Pr 0.2500 0.2500 0.1326
Y1 Y 0.2500 0.2500 0.5905
Te1 Te 0.2500 0.2500 0.3920
Te2 Te 0.2500 0.2500 0.7877
Se1 Se 0.2500 0.7500 0.0000
```

Principal peaks in the range 10° ≤ 2θ ≤ 90°, in order of falling intensity:
(1 1 0), 28.77°, 3.103 Å, I 100.0
(2 0 0), 41.14°, 2.194 Å, I 73.7
(1 1 4), 36.92°, 2.435 Å, I 64.5
(1 0 3), 26.50°, 3.363 Å, I 60.8
(1 0 5), 35.13°, 2.554 Å, I 37.1
(1 1 3), 33.57°, 2.670 Å, I 35.3

---

No. 5
For Pm12PdPt6, DFT lattice parameters and positions (GGA-PBE) gives the theoretical XRD peak list in this record (λ = 1.5418 Å (Cu Kα)).

Atomic structure:
```
data_Pm12PdPt6
_chemical_formula_sum 'Pm36 Pd3 Pt18'
_cell_length_a 12.9441
_cell_length_b 12.9441
_cell_length_c 11.9062
_cell_angle_alpha 90.00
_cell_angle_beta 90.00
_cell_angle_gamma 120.00
_space_group_name_H-M_alt 'R -3'
_space_group_IT_number 148
_space_group_name_Hall '-R 3'
loop_
_atom_site_label
_atom_site_type_symbol
_atom_site_fract_x
_atom_site_fract_y
_atom_site_fract_z
Pm1 Pm 0.0297 0.8129 0.3936
Pm2 Pm 0.0411 0.8304 0.8865
Pd1 Pd 0.0000 0.0000 0.0000
Pt1 Pt 0.0462 0.7831 0.6482
```

Principal peaks in the range 10° ≤ 2θ ≤ 90°, in order of falling intensity:
(4 1 0), 36.74°, 2.446 Å, I 100.0
(3 -1 4), 36.91°, 2.436 Å, I 85.8
(3 -1 1), 22.27°, 3.992 Å, I 79.5
(2 4 1), 43.42°, 2.084 Å, I 30.5
(4 -1 2), 32.49°, 2.756 Å, I 29.4
(1 0 4), 31.09°, 2.877 Å, I 25.3

---

No. 6
For Na3Tl4, DFT lattice parameters and positions (GGA-PBE) gives the theoretical XRD peak list in this record (λ = 1.5418 Å (Cu Kα)).

Atomic structure:
```
data_Na3Tl4
_chemical_formula_sum 'Na18 Tl24'
_cell_length_a 14.4351
_cell_length_b 14.4351
_cell_length_c 6.6541
_cell_angle_alpha 90.00
_cell_angle_beta 90.00
_cell_angle_gamma 120.00
_space_group_name_H-M_alt 'R -3'
_space_group_IT_number 148
_space_group_name_Hall '-R 3'
loop_
_atom_site_label
_atom_site_type_symbol
_atom_site_fract_x
_atom_site_fract_y
_atom_site_fract_z
Na1 Na 0.0477 0.2337 0.1759
Tl1 Tl 0.0000 0.0000 0.0000
Tl2 Tl 0.0000 0.0000 0.5000
Tl3 Tl 0.0495 0.2445 0.6707
```

Principal peaks in the range 10° ≤ 2θ ≤ 90°, in order of falling intensity:
(3 -2 2), 32.88°, 2.724 Å, I 100.0
(2 1 1), 23.09°, 3.853 Å, I 44.8
(0 7 2), 58.65°, 1.574 Å, I 28.4
(4 2 2), 47.18°, 1.926 Å, I 18.5
(6 -4 1), 40.52°, 2.226 Å, I 10.1
(1 4 3), 53.23°, 1.721 Å, I 9.8

---

No. 7
For PrCdGa2Pt2, DFT lattice parameters and positions (GGA-PBE) gives the theoretical XRD peak list in this record (λ = 1.5418 Å (Cu Kα)).

Atomic structure:
```
data_PrCdGa2Pt2
_chemical_formula_sum 'Pr1 Cd1 Ga2 Pt2'
_cell_length_a 4.4495
_cell_length_b 4.4495
_cell_length_c 6.9579
_cell_angle_alpha 90.00
_cell_angle_beta 90.00
_cell_angle_gamma 120.00
_space_group_name_H-M_alt 'P -3 m 1'
_space_group_IT_number 164
_space_group_name_Hall '-P 3 2"'
loop_
_atom_site_label
_atom_site_type_symbol
_atom_site_fract_x
_atom_site_fract_y
_atom_site_fract_z
Pr1 Pr 0.0000 0.0000 0.0000
Cd1 Cd 0.0000 0.0000 0.5000
Ga1 Ga 0.3333 0.6667 0.2921
Pt1 Pt 0.3333 0.6667 0.7110
```

Principal peaks in the range 10° ≤ 2θ ≤ 90°, in order of falling intensity:
(0 1 2), 34.74°, 2.582 Å, I 100.0
(1 1 0), 40.55°, 2.225 Å, I 81.6
(1 0 1), 26.44°, 3.371 Å, I 38.7
(2 0 2), 54.44°, 1.685 Å, I 27.5
(1 2 2), 70.04°, 1.343 Å, I 25.6
(1 1 4), 68.47°, 1.370 Å, I 16.2

---

No. 8
For GePbAu2, DFT lattice parameters and positions (GGA-PBE) gives the theoretical XRD peak list in this record (λ = 1.5418 Å (Cu Kα)).

Atomic structure:
```
data_GePbAu2
_chemical_formula_sum 'Ge1 Pb1 Au2'
_cell_length_a 3.3847
_cell_length_b 3.3847
_cell_length_c 7.5522
_cell_angle_alpha 90.00
_cell_angle_beta 90.00
_cell_angle_gamma 90.00
_space_group_name_H-M_alt 'P 4/m m m'
_space_group_IT_number 123
_space_group_name_Hall '-P 4 2'
loop_
_atom_site_label
_atom_site_type_symbol
_atom_site_fract_x
_atom_site_fract_y
_atom_site_fract_z
Ge1 Ge 0.0000 0.0000 0.0000
Pb1 Pb 0.0000 0.0000 0.5000
Au1 Au 0.5000 0.5000 0.2079
```

Principal peaks in the range 10° ≤ 2θ ≤ 90°, in order of falling intensity:
(1 0 2), 35.63°, 2.520 Å, I 100.0
(1 1 0), 37.58°, 2.393 Å, I 46.1
(2 1 2), 66.56°, 1.405 Å, I 36.6
(1 0 1), 28.91°, 3.089 Å, I 21.5
(2 0 0), 54.20°, 1.692 Å, I 16.2
(1 1 4), 62.65°, 1.483 Å, I 15.5

---

No. 9
For TbPmTm2, DFT lattice parameters and positions (GGA-PBE) gives the theoretical XRD peak list in this record (λ = 1.5418 Å (Cu Kα)).

Atomic structure:
```
data_TbPmTm2
_chemical_formula_sum 'Tb4 Pm4 Tm8'
_cell_length_a 6.2364
_cell_length_b 7.2461
_cell_length_c 11.3141
_cell_angle_alpha 90.00
_cell_angle_beta 90.01
_cell_angle_gamma 90.00
_space_group_name_H-M_alt 'P 1 2/c 1'
_space_group_IT_number 13
_space_group_name_Hall '-P 2yc'
loop_
_atom_site_label
_atom_site_type_symbol
_atom_site_fract_x
_atom_site_fract_y
_atom_site_fract_z
Tb1 Tb 0.1655 0.2464 0.3766
Pm1 Pm 0.3310 0.4989 0.1250
Tm1 Tm 0.1685 0.2451 0.8736
Tm2 Tm 0.3325 0.0006 0.1251
```

Principal peaks in the range 10° ≤ 2θ ≤ 90°, in order of falling intensity:
(1 2 2), 32.68°, 2.741 Å, I 100.0
(2 0 2), 32.80°, 2.731 Å, I 48.6
(0 0 4), 31.63°, 2.829 Å, I 36.1
(1 2 6), 57.03°, 1.615 Å, I 30.7
(1 2 0), 28.49°, 3.133 Å, I 23.2
(3 2 4), 60.93°, 1.520 Å, I 22.3

---

No. 10
For Dy5Tm5Bi6, DFT lattice parameters and positions (GGA-PBE) gives the theoretical XRD peak list in this record (λ = 1.5418 Å (Cu Kα)).

Atomic structure:
```
data_Dy5Tm5Bi6
_chemical_formula_sum 'Dy10 Tm10 Bi12'
_cell_length_a 6.3294
_cell_length_b 15.8429
_cell_length_c 9.1110
_cell_angle_alpha 90.00
_cell_angle_beta 90.00
_cell_angle_gamma 90.00
_space_group_name_H-M_alt 'A m m 2'
_space_group_IT_number 38
_space_group_name_Hall 'A 2 -2'
loop_
_atom_site_label
_atom_site_type_symbol
_atom_site_fract_x
_atom_site_fract_y
_atom_site_fract_z
Dy1 Dy 0.0000 0.0000 0.0000
Dy2 Dy 0.2499 0.1661 0.2583
Tm1 Tm 0.0000 0.1212 0.6378
Tm2 Tm 0.5000 0.0000 0.5193
Tm3 Tm 0.5000 0.1213 0.8796
Bi1 Bi 0.0000 0.0000 0.3718
Bi2 Bi 0.0000 0.1950 0.9521
Bi3 Bi 0.5000 0.0000 0.1468
Bi4 Bi 0.5000 0.1942 0.5646
```

Principal peaks in the range 10° ≤ 2θ ≤ 90°, in order of falling intensity:
(1 4 2), 33.15°, 2.702 Å, I 100.0
(2 3 1), 34.49°, 2.601 Å, I 71.1
(0 3 3), 34.05°, 2.633 Å, I 31.8
(3 4 2), 53.14°, 1.724 Å, I 30.2
(2 0 0), 28.20°, 3.165 Å, I 22.6
(0 4 2), 29.87°, 2.991 Å, I 15.9

---

Copy entry 6 word for word.
For Na3Tl4, DFT lattice parameters and positions (GGA-PBE) gives the theoretical XRD peak list in this record (λ = 1.5418 Å (Cu Kα)).

Atomic structure:
```
data_Na3Tl4
_chemical_formula_sum 'Na18 Tl24'
_cell_length_a 14.4351
_cell_length_b 14.4351
_cell_length_c 6.6541
_cell_angle_alpha 90.00
_cell_angle_beta 90.00
_cell_angle_gamma 120.00
_space_group_name_H-M_alt 'R -3'
_space_group_IT_number 148
_space_group_name_Hall '-R 3'
loop_
_atom_site_label
_atom_site_type_symbol
_atom_site_fract_x
_atom_site_fract_y
_atom_site_fract_z
Na1 Na 0.0477 0.2337 0.1759
Tl1 Tl 0.0000 0.0000 0.0000
Tl2 Tl 0.0000 0.0000 0.5000
Tl3 Tl 0.0495 0.2445 0.6707
```

Principal peaks in the range 10° ≤ 2θ ≤ 90°, in order of falling intensity:
(3 -2 2), 32.88°, 2.724 Å, I 100.0
(2 1 1), 23.09°, 3.853 Å, I 44.8
(0 7 2), 58.65°, 1.574 Å, I 28.4
(4 2 2), 47.18°, 1.926 Å, I 18.5
(6 -4 1), 40.52°, 2.226 Å, I 10.1
(1 4 3), 53.23°, 1.721 Å, I 9.8